# Ba7Ca3
Simulated X-ray diffraction stick pattern, Cu Kα X-rays. Input: DFT lattice parameters and positions (GGA-PBE).
Neutral-atom scattering factors, no anomalous dispersion.

Peak list (10 most intense, 2θ = 15–90°, low angle first)
- 26.02°, rel. 100, (1 1 5)
- 26.40°, rel. 50, (2 0 0)
- 36.56°, rel. 9, (0 0 10)
- 37.68°, rel. 19, (2 2 0)
- 45.65°, rel. 19, (2 0 10)
- 46.36°, rel. 41, (3 1 5)
- 53.51°, rel. 12, (2 2 10)
- 61.22°, rel. 9, (3 3 5)
- 61.41°, rel. 9, (4 2 0)
- 73.63°, rel. 9, (4 2 10)

Cell and atoms:
Unit cell a=6.745 b=6.759 c=24.581 alpha=90.00 beta=90.00 gamma=90.00
Space group Amm2 (No. 38)
Inequivalent atoms, fractional coordinates:
Ba (0.000, 0.000, 0.000) (multiplicity 2)
Ba (0.000, 0.000, 0.194) (multiplicity 2)
Ba (0.000, 0.000, 0.390) (multiplicity 2)
Ba (0.000, 0.000, 0.602) (multiplicity 2)
Ba (0.500, 0.000, 0.288) (multiplicity 2)
Ba (0.500, 0.000, 0.502) (multiplicity 2)
Ba (0.500, 0.000, 0.887) (multiplicity 2)
Ca (0.000, 0.000, 0.786) (multiplicity 2)
Ca (0.500, 0.000, 0.103) (multiplicity 2)
Ca (0.500, 0.000, 0.696) (multiplicity 2)

***

# BeI2
Simulated X-ray diffraction stick pattern, Cu Kα X-rays. Input: DFT lattice parameters and positions (GGA-PBE).
Neutral-atom scattering factors, no anomalous dispersion.

Peak list (10 most intense, 2θ = 15–90°, low angle first)
- 24.12°, rel. 100, (1 2 1)
- 26.27°, rel. 14, (2 0 0)
- 28.30°, rel. 15, (0 4 0)
- 29.14°, rel. 17, (0 0 2)
- 30.95°, rel. 9, (2 1 1)
- 34.61°, rel. 9, (1 4 1)
- 37.07°, rel. 12, (2 3 1)
- 39.63°, rel. 10, (2 0 2)
- 41.07°, rel. 12, (0 4 2)
- 48.72°, rel. 17, (1 2 3)

Cell and atoms:
Unit cell a=6.785 b=12.614 c=6.130 alpha=90.00 beta=90.00 gamma=90.00
Space group Ibam (No. 72)
Inequivalent atoms, fractional coordinates:
Be (0.000, 0.000, 0.250) (multiplicity 4)
I (0.197, 0.106, 0.000) (multiplicity 8)

***

# Nb3C2
Simulated X-ray diffraction stick pattern, Cu Kα X-rays. Input: DFT lattice parameters and positions (GGA-PBE).
Neutral-atom scattering factors, no anomalous dispersion.

Peak list (10 most intense, 2θ = 15–90°, low angle first)
- 34.75°, rel. 100, (0 2 6)
- 34.91°, rel. 99, (2 2 0)
- 40.29°, rel. 44, (0 4 0)
- 40.51°, rel. 87, (2 0 6)
- 58.45°, rel. 69, (0 0 12)
- 58.84°, rel. 14, (4 0 0)
- 69.73°, rel. 25, (2 6 0)
- 69.88°, rel. 25, (2 2 12)
- 70.18°, rel. 25, (4 2 6)
- 73.34°, rel. 14, (0 4 12)

Cell and atoms:
Unit cell a=6.278 b=8.954 c=18.962 alpha=90.00 beta=90.00 gamma=90.00
Space group Fddd (No. 70, origin choice 2)
Inequivalent atoms, fractional coordinates:
Nb (0.119, 0.375, 0.375) (multiplicity 16)
Nb (0.122, 0.369, 0.206) (multiplicity 32)
C (0.125, 0.125, 0.043) (multiplicity 16)
C (0.125, 0.125, 0.374) (multiplicity 16)